CaTb3Pm2As6: simulated PXRD pattern (a wavelength of 1.5418 Å), based on a DFT-relaxed cell (GGA-PBE, Alexandria).
Neutral-atom scattering factors, no anomalous dispersion.

Crystal structure
a b c (Å): 18.2971 4.1890 8.3901
angles (deg): 90.00 103.44 90.00
Space group C2/m (No. 12)
Asymmetric unit:
Ca (0.0000, 0.0000, 0.0000) [2 per cell]
Tb (0.0000, 0.0000, 0.5000) [2 per cell]
Tb (0.1661, 0.5000, 0.8341) [4 per cell]
Pm (0.1657, 0.5000, 0.3307) [4 per cell]
As (0.0016, 0.5000, 0.7432) [4 per cell]
As (0.1658, 0.0000, 0.5862) [4 per cell]
As (0.1690, 0.0000, 0.0803) [4 per cell]

Main lines, low angle first (10 to 80 degrees two-theta):
Position (°2θ)	I_rel	index
26.03	14	4 0 -2
30.14	100	6 0 0
43.13	50	0 2 0
43.20	25	5 1 2
51.06	4	5 1 -4
53.42	7	8 0 -4
53.57	20	6 2 0
62.67	12	12 0 0
71.04	17	13 1 -2
71.17	17	1 3 -2
78.98	4	9 1 -6
79.18	19	5 3 2